Starting from a cell relaxed with PBE, the X-ray diffraction stick pattern of Ac2SiPd4Au2 was simulated for Cu Kα.
No peak broadening, texture or thermal motion is included.

Structural model:
abc: 6.394 6.394 9.332
angles: 90.00 90.00 90.00
Space group I4/mmm (No. 139)
Inequivalent atoms, fractional coordinates:
Ac: 0.000 0.500 0.250
Si: 0.000 0.000 0.000
Pd: 0.231 0.231 0.500
Au: 0.000 0.000 0.281

Peak list (6 most intense, 15° ≤ 2θ ≤ 90°, most intense first)
hkl 2 0 2, 33.99 deg, I 100
hkl 2 2 0, 39.88 deg, I 37
hkl 4 2 2, 68.66 deg, I 25
hkl 2 2 4, 56.70 deg, I 22
hkl 0 0 4, 38.59 deg, I 17
hkl 4 0 0, 57.67 deg, I 12

=====

Starting from a cell relaxed with PBE, the X-ray diffraction stick pattern of YMg2Ru was simulated for Cu Kα.
No peak broadening, texture or thermal motion is included.

Structural model:
abc: 15.415 8.316 5.374
angles: 90.00 90.00 90.00
Space group Pnma (No. 62)
Inequivalent atoms, fractional coordinates:
Y: 0.109 0.250 0.250
Y: 0.139 0.750 0.054
Mg: 0.040 0.059 0.735
Mg: 0.211 0.557 0.547
Ru: 0.065 0.750 0.556
Ru: 0.187 0.250 0.752

Peak list (6 most intense, 15° ≤ 2θ ≤ 90°, most intense first)
hkl 0 2 0, 21.37 deg, I 100
hkl 2 1 2, 37.04 deg, I 96
hkl 4 2 0, 31.66 deg, I 36
hkl 2 1 1, 22.83 deg, I 35
hkl 5 1 1, 35.25 deg, I 33
hkl 6 0 1, 38.85 deg, I 29

=====

Starting from a cell relaxed with PBE, the X-ray diffraction stick pattern of RbSb2Br6 was simulated for Cu Kα.
No peak broadening, texture or thermal motion is included.

Structural model:
abc: 7.7984 7.7984 7.2264
angles: 90.00 90.00 120.00
Space group P-31m (No. 162)
Inequivalent atoms, fractional coordinates:
Rb: 0.0000 0.0000 0.0000
Sb: 0.3333 0.6667 0.5000
Br: 0.0000 0.3692 0.7129

Peak list (6 most intense, 15° ≤ 2θ ≤ 90°, most intense first)
hkl 2 -1 1, 25.97 deg, I 100
hkl 2 -1 2, 33.82 deg, I 97
hkl 1 0 1, 17.98 deg, I 72
hkl 3 0 0, 40.05 deg, I 52
hkl 3 -1 1, 37.36 deg, I 30
hkl 1 1 3, 44.20 deg, I 27

=====

Starting from a cell relaxed with PBE, the X-ray diffraction stick pattern of Ce3HgRu2 was simulated for Cu Kα.
No peak broadening, texture or thermal motion is included.

Structural model:
abc: 5.255 14.234 3.571
angles: 90.00 90.00 90.00
Space group Pmmn (No. 59, origin choice 2)
Inequivalent atoms, fractional coordinates:
Ce: 0.250 0.051 0.006
Ce: 0.250 0.750 0.997
Hg: 0.250 0.250 0.505
Ru: 0.250 0.607 0.499

Peak list (6 most intense, 15° ≤ 2θ ≤ 90°, most intense first)
hkl 1 3 1, 35.82 deg, I 100
hkl 2 0 0, 34.13 deg, I 30
hkl 3 3 1, 62.20 deg, I 20
hkl 0 6 0, 37.93 deg, I 11
hkl 2 0 2, 62.94 deg, I 10
hkl 0 0 2, 51.17 deg, I 9

=====

Starting from a cell relaxed with PBE, the X-ray diffraction stick pattern of TbAl4 was simulated for Cu Kα.
No peak broadening, texture or thermal motion is included.

Structural model:
abc: 4.443 6.285 13.723
angles: 90.00 90.00 90.00
Space group Imma (No. 74)
Inequivalent atoms, fractional coordinates:
Tb: 0.000 0.250 0.113
Al: 0.000 0.000 0.500
Al: 0.000 0.036 0.698
Al: 0.000 0.250 0.887

Peak list (6 most intense, 15° ≤ 2θ ≤ 90°, most intense first)
hkl 1 1 2, 27.81 deg, I 100
hkl 1 2 1, 35.60 deg, I 99
hkl 1 0 5, 38.55 deg, I 72
hkl 0 1 1, 15.51 deg, I 54
hkl 0 1 3, 24.06 deg, I 54
hkl 0 2 4, 38.86 deg, I 52

=====

Starting from a cell relaxed with PBE, the X-ray diffraction stick pattern of TbPr3Sm6Tm2 was simulated for Cu Kα.
No peak broadening, texture or thermal motion is included.

Structural model:
abc: 6.277 10.875 11.995
angles: 90.00 100.07 90.00
Space group C2/m (No. 12)
Inequivalent atoms, fractional coordinates:
Tb: 0.000 0.000 0.000
Pr: 0.000 0.167 0.500
Pr: 0.000 0.500 0.500
Sm: 0.248 0.500 0.244
Sm: 0.249 0.167 0.244
Tm: 0.000 0.333 0.000

Peak list (6 most intense, 15° ≤ 2θ ≤ 90°, most intense first)
hkl 1 3 1, 30.21 deg, I 100
hkl 2 0 2, 35.04 deg, I 67
hkl 0 6 0, 50.39 deg, I 48
hkl 4 0 0, 59.87 deg, I 43
hkl 0 0 4, 30.27 deg, I 33
hkl 2 0 6, 59.96 deg, I 14

=====

Starting from a cell relaxed with PBE, the X-ray diffraction stick pattern of La3U2O10 was simulated for Cu Kα.
No peak broadening, texture or thermal motion is included.

Structural model:
abc: 6.869 7.779 8.729
angles: 101.78 97.59 106.97
Space group P-1 (No. 2)
Inequivalent atoms, fractional coordinates:
La: 0.000 0.000 0.000
La: 0.000 0.500 0.000
La: 0.200 0.397 0.396
La: 0.389 0.798 0.798
U: 0.200 0.903 0.403
U: 0.400 0.303 0.801
O: 0.046 0.728 0.847
O: 0.056 0.227 0.821
O: 0.145 0.156 0.548
O: 0.149 0.692 0.526
O: 0.258 0.099 0.265
O: 0.281 0.658 0.246
O: 0.358 0.556 0.952
O: 0.363 0.104 0.936
O: 0.434 0.032 0.631
O: 0.441 0.502 0.663

Peak list (6 most intense, 15° ≤ 2θ ≤ 90°, most intense first)
hkl 1 0 2, 27.74 deg, I 100
hkl 1 2 0, 32.26 deg, I 66
hkl 2 0 -1, 27.61 deg, I 51
hkl 0 2 -2, 28.29 deg, I 47
hkl 3 0 1, 45.82 deg, I 35
hkl 1 -2 4, 46.70 deg, I 32

=====

Starting from a cell relaxed with PBE, the X-ray diffraction stick pattern of CuIr5 was simulated for Cu Kα.
No peak broadening, texture or thermal motion is included.

Structural model:
abc: 3.834 8.174 5.458
angles: 90.00 90.00 90.00
Space group Pmmn (No. 59, origin choice 2)
Inequivalent atoms, fractional coordinates:
Cu: 0.250 0.250 0.126
Ir: 0.250 0.250 0.620
Ir: 0.250 0.579 0.624
Ir: 0.250 0.584 0.124

Peak list (6 most intense, 15° ≤ 2θ ≤ 90°, most intense first)
hkl 1 3 0, 40.60 deg, I 100
hkl 0 3 2, 47.14 deg, I 33
hkl 1 3 4, 83.12 deg, I 26
hkl 2 3 2, 69.10 deg, I 21
hkl 2 0 0, 47.43 deg, I 17
hkl 3 3 0, 83.55 deg, I 13

=====

Starting from a cell relaxed with PBE, the X-ray diffraction stick pattern of Y2SbTe2 was simulated for Cu Kα.
No peak broadening, texture or thermal motion is included.

Structural model:
abc: 8.516 8.516 3.971
angles: 90.00 90.00 90.00
Space group P4/mbm (No. 127)
Inequivalent atoms, fractional coordinates:
Y: 0.159 0.341 0.000
Sb: 0.000 0.000 0.000
Te: 0.140 0.640 0.500

Peak list (6 most intense, 15° ≤ 2θ ≤ 90°, most intense first)
hkl 2 1 1, 32.58 deg, I 100
hkl 3 1 0, 33.27 deg, I 56
hkl 3 1 2, 57.68 deg, I 23
hkl 1 1 1, 26.89 deg, I 22
hkl 5 2 1, 63.30 deg, I 20
hkl 0 0 2, 45.69 deg, I 14

=====

Starting from a cell relaxed with PBE, the X-ray diffraction stick pattern of V5Ga3 was simulated for Cu Kα.
No peak broadening, texture or thermal motion is included.

Structural model:
abc: 3.690 3.690 16.336
angles: 90.00 90.00 90.00
Space group I-4m2 (No. 119)
Inequivalent atoms, fractional coordinates:
V: 0.000 0.000 0.000
V: 0.000 0.000 0.249
V: 0.000 0.500 0.125
Ga: 0.000 0.000 0.500
Ga: 0.000 0.500 0.630

Peak list (6 most intense, 15° ≤ 2θ ≤ 90°, most intense first)
hkl 1 1 4, 41.05 deg, I 100
hkl 2 0 0, 49.40 deg, I 28
hkl 3 1 4, 86.81 deg, I 20
hkl 0 0 8, 44.36 deg, I 19
hkl 2 0 8, 68.55 deg, I 19
hkl 1 1 12, 79.40 deg, I 12

=====

Starting from a cell relaxed with PBE, the X-ray diffraction stick pattern of CeScBi3 was simulated for Cu Kα.
No peak broadening, texture or thermal motion is included.

Structural model:
abc: 13.715 6.485 6.716
angles: 90.00 90.00 90.00
Space group Pbcm (No. 57)
Inequivalent atoms, fractional coordinates:
Ce: 0.184 0.010 0.250
Sc: 0.403 0.750 0.000
Bi: 0.003 0.750 0.000
Bi: 0.251 0.507 0.250
Bi: 0.424 0.129 0.250

Peak list (6 most intense, 15° ≤ 2θ ≤ 90°, most intense first)
hkl 3 1 1, 27.32 deg, I 100
hkl 2 2 0, 30.49 deg, I 78
hkl 0 2 2, 38.60 deg, I 51
hkl 2 0 2, 29.62 deg, I 49
hkl 4 1 1, 32.41 deg, I 37
hkl 5 0 0, 32.65 deg, I 31

=====

Starting from a cell relaxed with PBE, the X-ray diffraction stick pattern of La3Pr2Er4 was simulated for Cu Kα.
No peak broadening, texture or thermal motion is included.

Structural model:
abc: 5.167 6.251 10.919
angles: 105.98 90.01 114.34
Space group P-1 (No. 2)
Inequivalent atoms, fractional coordinates:
La: 0.000 0.000 0.000
La: 0.333 0.666 0.442
Pr: 0.334 0.668 0.781
Er: 0.000 0.001 0.667
Er: 0.335 0.669 0.111

Peak list (6 most intense, 15° ≤ 2θ ≤ 90°, most intense first)
hkl 1 1 0, 30.07 deg, I 100
hkl 1 -2 0, 30.17 deg, I 33
hkl 3 0 0, 59.38 deg, I 24
hkl 0 1 3, 34.64 deg, I 23
hkl 2 -1 0, 34.73 deg, I 23
hkl 0 2 -3, 35.29 deg, I 22

=====

Copy entry 3 word for word.
Starting from a cell relaxed with PBE, the X-ray diffraction stick pattern of RbSb2Br6 was simulated for Cu Kα.
No peak broadening, texture or thermal motion is included.

Structural model:
abc: 7.7984 7.7984 7.2264
angles: 90.00 90.00 120.00
Space group P-31m (No. 162)
Inequivalent atoms, fractional coordinates:
Rb: 0.0000 0.0000 0.0000
Sb: 0.3333 0.6667 0.5000
Br: 0.0000 0.3692 0.7129

Peak list (6 most intense, 15° ≤ 2θ ≤ 90°, most intense first)
hkl 2 -1 1, 25.97 deg, I 100
hkl 2 -1 2, 33.82 deg, I 97
hkl 1 0 1, 17.98 deg, I 72
hkl 3 0 0, 40.05 deg, I 52
hkl 3 -1 1, 37.36 deg, I 30
hkl 1 1 3, 44.20 deg, I 27